For TiSb2SN, the GGA-PBE geometry in Alexandria gives the computed powder diffractogram in this record (CuKα).

Structural model:
a b c (Å): 5.377 5.377 3.780
angles (deg): 90.00 90.00 90.00
Space group P4/mmm (No. 123)
Asymmetric unit:
Ti 0.000 0.000 0.000
Sb 0.000 0.500 0.000
S 0.500 0.500 0.500
N 0.000 0.000 0.500

Most intense lines, 10 to 80 degrees two-theta, low angle first:
2θ (°)  I (rel.)  index
23.40  44  1 1 0
23.54  61  0 0 1
33.33  98  2 0 0
33.43  100  1 1 1
41.21  57  2 0 1
47.85  34  2 2 0
48.15  17  0 0 2
53.97  36  2 2 1
59.62  36  3 1 1
59.82  34  2 0 2
70.23  20  2 2 2
79.78  22  4 2 0

For BaAcIN, the GGA-PBE geometry in Alexandria gives the computed powder diffractogram in this record (CuKα).

Structural model:
a b c (Å): 4.0138 4.0138 27.0505
angles (deg): 90.00 90.00 120.00
Space group R3m (No. 160, hexagonal axes)
Asymmetric unit:
Ba 0.0000 0.0000 0.0000
Ac 0.0000 0.0000 0.8696
I 0.0000 0.0000 0.4335
N 0.0000 0.0000 0.5718

Most intense lines, 10 to 80 degrees two-theta, low angle first:
2θ (°)  I (rel.)  index
25.84  29  1 0 1
26.47  100  0 1 2
29.72  34  0 0 9
30.57  43  0 1 5
34.71  84  1 0 7
45.18  50  1 1 0
53.13  15  2 0 2
54.32  19  0 1 14
55.02  36  1 1 9
58.20  19  0 2 7
60.94  16  1 0 16
76.60  17  2 1 7

For AcTb2Dy5, the GGA-PBE geometry in Alexandria gives the computed powder diffractogram in this record (CuKα).

Structural model:
a b c (Å): 7.206 20.253 7.216
angles (deg): 90.00 90.00 90.00
Space group Pbam (No. 55)
Asymmetric unit:
Ac 0.250 0.125 0.000
Tb 0.000 0.000 0.256
Tb 0.250 0.125 0.500
Dy 0.000 0.250 0.256
Dy 0.000 0.500 0.256
Dy 0.250 0.375 0.000
Dy 0.250 0.375 0.500

Most intense lines, 10 to 80 degrees two-theta, low angle first:
2θ (°)  I (rel.)  index
19.49  1  1 2 1
30.44  100  2 4 0
35.20  34  2 0 2
35.46  17  0 8 0
50.63  12  4 0 0
50.83  24  2 8 2
60.23  29  4 4 2
60.58  14  2 12 0
63.33  12  4 8 0
74.42  4  4 0 4
75.04  2  0 16 0